Record 1
This entry pairs a crystal structure of CdP2Ru with its computed powder diffractogram. Radiation: CuKα. Structure: the GGA-PBE geometry in Alexandria.
Lines closer than 0.1° are merged.

Atomic structure:
```
data_CdP2Ru
_cell_length_a 3.607
_cell_length_b 4.302
_cell_length_c 4.697
_cell_angle_alpha 90.00
_cell_angle_beta 112.50
_cell_angle_gamma 90.00
_space_group_name_H-M_alt 'P 1 m 1'
_space_group_IT_number 6
_space_group_name_Hall 'P -2y'
loop_
_atom_site_label
_atom_site_fract_x
_atom_site_fract_y
_atom_site_fract_z
Cd1 0.000 0.000 0.000
P1 0.281 0.000 0.560
P2 0.710 0.500 0.417
Ru1 0.401 0.500 0.800
```

Largest 10 diffraction maxima, in order of rising 2θ, 10 to 80 degrees two-theta:
index  two_theta  I/Imax
0 0 1  20.5  38
0 1 1  29.2  22
1 1 -1  34.0  100
1 0 -2  40.0  34
0 2 0  42.0  26
1 1 1  45.4  29
0 1 2  46.9  26
2 0 -1  50.6  15
1 2 -2  59.4  20
1 3 -1  71.7  15


Record 2
This entry pairs a crystal structure of CdSb2P with its computed powder diffractogram. Radiation: CuKα. Structure: the GGA-PBE geometry in Alexandria.
Lines closer than 0.1° are merged.

Atomic structure:
```
data_CdSb2P
_cell_length_a 3.026
_cell_length_b 4.036
_cell_length_c 8.333
_cell_angle_alpha 90.00
_cell_angle_beta 96.71
_cell_angle_gamma 90.00
_space_group_name_H-M_alt 'P 1 2/m 1'
_space_group_IT_number 10
_space_group_name_Hall '-P 2y'
loop_
_atom_site_label
_atom_site_fract_x
_atom_site_fract_y
_atom_site_fract_z
Cd1 0.000 0.000 0.000
Sb1 0.086 0.500 0.727
P1 0.000 0.000 0.500
```

Largest 10 diffraction maxima, in order of rising 2θ, 10 to 80 degrees two-theta:
index  two_theta  I/Imax
0 1 1  24.5  17
1 0 0  29.7  49
0 1 2  31.0  100
1 1 -1  37.9  23
1 1 -2  41.6  29
1 0 -3  41.8  12
0 0 4  43.8  16
0 2 0  44.9  18
1 1 2  45.3  34
1 2 0  54.8  17


Record 3
This entry pairs a crystal structure of ScCdP with its computed powder diffractogram. Radiation: CuKα. Structure: the GGA-PBE geometry in Alexandria.
Lines closer than 0.1° are merged.

Atomic structure:
```
data_ScCdP
_cell_length_a 3.8557
_cell_length_b 3.8557
_cell_length_c 5.2022
_cell_angle_alpha 90.00
_cell_angle_beta 90.00
_cell_angle_gamma 120.00
_space_group_name_H-M_alt 'P 3 m 1'
_space_group_IT_number 156
_space_group_name_Hall 'P 3 -2"'
loop_
_atom_site_label
_atom_site_fract_x
_atom_site_fract_y
_atom_site_fract_z
Sc1 0.0000 0.0000 0.0000
Cd1 0.6667 0.3333 0.4441
P1 0.3333 0.6667 0.7579
```

Largest 10 diffraction maxima, in order of rising 2θ, 10 to 80 degrees two-theta:
index  two_theta  I/Imax
0 0 1  17.0  12
1 0 0  26.7  21
1 0 1  31.8  100
0 0 2  34.5  10
0 1 2  44.1  28
1 1 0  47.1  26
0 2 1  58.0  17
1 1 2  59.7  11
1 0 3  60.1  10
2 1 1  77.9  14


Record 4
This entry pairs a crystal structure of ScCdP with its computed powder diffractogram. Radiation: CuKα. Structure: the GGA-PBE geometry in Alexandria.
Lines closer than 0.1° are merged.

Atomic structure:
```
data_ScCdP
_cell_length_a 4.114
_cell_length_b 5.310
_cell_length_c 11.312
_cell_angle_alpha 90.00
_cell_angle_beta 90.00
_cell_angle_gamma 90.00
_space_group_name_H-M_alt 'F m m 2'
_space_group_IT_number 42
_space_group_name_Hall 'F 2 -2'
loop_
_atom_site_label
_atom_site_fract_x
_atom_site_fract_y
_atom_site_fract_z
Sc1 0.000 0.000 0.000
Cd1 0.000 0.000 0.293
P1 0.000 0.000 0.624
```

Largest 10 diffraction maxima, in order of rising 2θ, 10 to 80 degrees two-theta:
index  two_theta  I/Imax
0 0 2  15.7  20
1 1 1  28.6  47
0 0 4  31.6  17
0 2 0  33.8  35
1 1 3  36.5  100
2 0 0  44.0  16
0 2 4  47.0  14
2 2 0  56.6  14
1 3 3  62.2  19
1 1 7  64.4  11


Record 5
This entry pairs a crystal structure of CdP2Se6 with its computed powder diffractogram. Radiation: CuKα. Structure: the GGA-PBE geometry in Alexandria.
Lines closer than 0.1° are merged.

Atomic structure:
```
data_CdP2Se6
_cell_length_a 13.625
_cell_length_b 13.692
_cell_length_c 6.127
_cell_angle_alpha 90.00
_cell_angle_beta 116.25
_cell_angle_gamma 90.00
_space_group_name_H-M_alt 'C 1 2/c 1'
_space_group_IT_number 15
_space_group_name_Hall '-C 2yc'
loop_
_atom_site_label
_atom_site_fract_x
_atom_site_fract_y
_atom_site_fract_z
Cd1 0.000 0.216 0.250
P1 0.222 0.418 0.282
Se1 0.103 0.079 0.611
Se2 0.139 0.285 0.089
Se3 0.151 0.439 0.559
```

Largest 10 diffraction maxima, in order of rising 2θ, 10 to 80 degrees two-theta:
index  two_theta  I/Imax
1 1 -1  15.8  17
2 2 0  19.5  15
2 2 -1  20.8  20
3 1 0  22.8  20
1 3 1  28.4  100
3 3 -1  28.5  17
2 0 -2  29.2  25
2 4 -1  30.8  21
4 0 -2  32.8  16
2 0 2  41.6  16


Record 6
This entry pairs a crystal structure of CdPSe3 with its computed powder diffractogram. Radiation: CuKα. Structure: the GGA-PBE geometry in Alexandria.
Lines closer than 0.1° are merged.

Atomic structure:
```
data_CdPSe3
_cell_length_a 6.504
_cell_length_b 7.654
_cell_length_c 12.342
_cell_angle_alpha 90.00
_cell_angle_beta 121.68
_cell_angle_gamma 90.00
_space_group_name_H-M_alt 'P 1 21/c 1'
_space_group_IT_number 14
_space_group_name_Hall '-P 2ybc'
loop_
_atom_site_label
_atom_site_fract_x
_atom_site_fract_y
_atom_site_fract_z
Cd1 0.138 0.053 0.232
P1 0.487 0.121 0.052
Se1 0.125 0.236 0.923
Se2 0.222 0.707 0.930
Se3 0.438 0.540 0.259
```

Largest 10 diffraction maxima, in order of rising 2θ, 10 to 80 degrees two-theta:
index  two_theta  I/Imax
1 0 -2  16.0  21
0 2 1  24.7  41
0 2 2  28.9  100
1 0 -4  29.0  29
2 1 -1  31.1  77
1 2 2  37.5  24
2 1 -5  39.6  21
0 2 4  41.7  22
2 3 -2  45.2  21
3 0 0  49.5  23


Record 7
This entry pairs a crystal structure of TlCd2P with its computed powder diffractogram. Radiation: CuKα. Structure: the GGA-PBE geometry in Alexandria.
Lines closer than 0.1° are merged.

Atomic structure:
```
data_TlCd2P
_cell_length_a 3.1886
_cell_length_b 3.1886
_cell_length_c 31.7538
_cell_angle_alpha 90.00
_cell_angle_beta 90.00
_cell_angle_gamma 120.00
_space_group_name_H-M_alt 'R 3 m'
_space_group_IT_number 160
_space_group_name_Hall 'R 3 -2"'
loop_
_atom_site_label
_atom_site_fract_x
_atom_site_fract_y
_atom_site_fract_z
Tl1 0.0000 0.0000 0.0000
Cd1 0.0000 0.0000 0.2389
Cd2 0.0000 0.0000 0.4872
P1 0.0000 0.0000 0.7517
```

Largest 10 diffraction maxima, in order of rising 2θ, 10 to 80 degrees two-theta:
index  two_theta  I/Imax
0 0 6  16.8  24
0 0 9  25.2  19
0 1 2  32.9  15
0 0 12  33.9  28
1 0 4  34.4  100
0 1 5  35.4  15
0 1 8  39.8  62
1 0 16  57.2  15
1 1 0  57.8  22
1 1 12  68.7  21


Record 8
This entry pairs a crystal structure of ZrCdP2 with its computed powder diffractogram. Radiation: CuKα. Structure: the GGA-PBE geometry in Alexandria.
Lines closer than 0.1° are merged.

Atomic structure:
```
data_ZrCdP2
_cell_length_a 3.789
_cell_length_b 3.532
_cell_length_c 12.282
_cell_angle_alpha 90.00
_cell_angle_beta 90.00
_cell_angle_gamma 90.00
_space_group_name_H-M_alt 'A m m 2'
_space_group_IT_number 38
_space_group_name_Hall 'A 2 -2'
loop_
_atom_site_label
_atom_site_fract_x
_atom_site_fract_y
_atom_site_fract_z
Zr1 0.000 0.000 0.000
Cd1 0.500 0.000 0.227
P1 0.000 0.000 0.661
P2 0.500 0.000 0.436
```

Largest 10 diffraction maxima, in order of rising 2θ, 10 to 80 degrees two-theta:
index  two_theta  I/Imax
0 1 1  26.3  50
1 0 2  27.7  90
0 0 4  29.1  59
1 1 1  35.5  100
1 1 3  41.3  82
0 1 5  45.0  41
2 0 0  48.0  24
1 0 6  50.7  30
1 2 2  59.7  20
2 1 5  67.9  23


Record 9
This entry pairs a crystal structure of PaCd3Pd4 with its computed powder diffractogram. Radiation: CuKα. Structure: the GGA-PBE geometry in Alexandria.
Lines closer than 0.1° are merged.

Atomic structure:
```
data_PaCd3Pd4
_cell_length_a 6.684
_cell_length_b 6.684
_cell_length_c 6.684
_cell_angle_alpha 90.00
_cell_angle_beta 90.00
_cell_angle_gamma 90.00
_space_group_name_H-M_alt 'I m -3 m'
_space_group_IT_number 229
_space_group_name_Hall '-I 4 2 3'
loop_
_atom_site_label
_atom_site_fract_x
_atom_site_fract_y
_atom_site_fract_z
Pa1 0.000 0.000 0.000
Cd1 0.000 0.000 0.500
Pd1 0.250 0.250 0.250
```

Largest 10 diffraction maxima, in order of rising 2θ, 10 to 80 degrees two-theta:
index  two_theta  I/Imax
1 1 0  18.8  7
2 0 0  26.7  2
2 1 1  32.8  4
2 2 0  38.1  100
3 1 0  42.8  2
3 2 1  51.1  2
4 0 0  55.0  17
4 1 1  58.6  1
4 2 2  68.8  34
5 1 0  72.0  1


Record 10
This entry pairs a crystal structure of PaCdPd with its computed powder diffractogram. Radiation: CuKα. Structure: the GGA-PBE geometry in Alexandria.
Lines closer than 0.1° are merged.

Atomic structure:
```
data_PaCdPd
_cell_length_a 3.243
_cell_length_b 3.243
_cell_length_c 12.068
_cell_angle_alpha 90.00
_cell_angle_beta 90.00
_cell_angle_gamma 90.00
_space_group_name_H-M_alt 'I 4 m m'
_space_group_IT_number 107
_space_group_name_Hall 'I 4 -2'
loop_
_atom_site_label
_atom_site_fract_x
_atom_site_fract_y
_atom_site_fract_z
Pa1 0.000 0.000 0.000
Cd1 0.000 0.000 0.701
Pd1 0.000 0.000 0.350
```

Largest 10 diffraction maxima, in order of rising 2θ, 10 to 80 degrees two-theta:
index  two_theta  I/Imax
0 0 2  14.7  11
1 0 1  28.5  15
0 0 4  29.6  7
1 0 3  35.6  100
1 1 0  39.3  41
0 0 6  45.1  10
2 0 0  56.8  14
1 1 6  61.3  16
2 1 3  68.8  29
2 0 6  75.3  9


Record 11
This entry pairs a crystal structure of Pa2CdPt with its computed powder diffractogram. Radiation: CuKα. Structure: the GGA-PBE geometry in Alexandria.
Lines closer than 0.1° are merged.

Atomic structure:
```
data_Pa2CdPt
_cell_length_a 3.754
_cell_length_b 3.754
_cell_length_c 6.734
_cell_angle_alpha 90.00
_cell_angle_beta 90.00
_cell_angle_gamma 90.00
_space_group_name_H-M_alt 'P 4/m m m'
_space_group_IT_number 123
_space_group_name_Hall '-P 4 2'
loop_
_atom_site_label
_atom_site_fract_x
_atom_site_fract_y
_atom_site_fract_z
Pa1 0.000 0.000 0.206
Cd1 0.500 0.500 0.500
Pt1 0.500 0.500 0.000
```

Largest 10 diffraction maxima, in order of rising 2θ, 10 to 80 degrees two-theta:
index  two_theta  I/Imax
0 0 1  13.1  22
1 1 0  33.8  71
1 0 2  35.8  100
1 1 1  36.4  8
1 0 3  47.2  17
2 0 0  48.5  26
2 1 2  61.7  42
1 1 4  65.7  9
2 1 3  70.0  11
2 2 0  71.0  8


Record 12
This entry pairs a crystal structure of Pa2CdPt9 with its computed powder diffractogram. Radiation: CuKα. Structure: the GGA-PBE geometry in Alexandria.
Lines closer than 0.1° are merged.

Atomic structure:
```
data_Pa2CdPt9
_cell_length_a 4.155
_cell_length_b 4.155
_cell_length_c 12.252
_cell_angle_alpha 90.00
_cell_angle_beta 90.00
_cell_angle_gamma 90.00
_space_group_name_H-M_alt 'P 4/m m m'
_space_group_IT_number 123
_space_group_name_Hall '-P 4 2'
loop_
_atom_site_label
_atom_site_fract_x
_atom_site_fract_y
_atom_site_fract_z
Pa1 0.000 0.000 0.175
Cd1 0.000 0.000 0.500
Pt1 0.000 0.500 0.000
Pt2 0.000 0.500 0.333
Pt3 0.500 0.500 0.167
Pt4 0.500 0.500 0.500
```

Largest 10 diffraction maxima, in order of rising 2θ, 10 to 80 degrees two-theta:
index  two_theta  I/Imax
0 0 2  14.5  1
1 0 1  22.6  1
1 0 2  25.9  1
1 1 3  37.7  100
2 0 0  43.6  34
0 0 6  44.4  16
2 2 0  63.3  11
2 0 6  63.9  22
3 1 3  76.1  27
1 1 9  77.2  12